Simulated powder diffraction line list of MnV2Si6 for Cu Kα X-rays, from a PBE-relaxed structure.
Lines closer than 0.1° are merged.

The 8 most intense peaks (2θ from 10° to 90°), by angle:
(hkl), 2θ/deg, I/Imax
1 1 1, 26.9, 11
1 3 0, 40.0, 10
0 0 3, 42.6, 100
2 0 1, 42.9, 31
1 3 2, 49.6, 39
2 0 2, 49.9, 21
1 3 4, 72.8, 12
3 3 1, 75.0, 11

Cell and atoms:
```
data_MnV2Si6
_space_group_name_H-M_alt 'C 2 2 2'
_space_group_IT_number 21
_space_group_name_Hall 'C 2 2'
_cell_length_a 4.467
_cell_length_b 7.820
_cell_length_c 6.361
_cell_angle_alpha 90.00
_cell_angle_beta 90.00
_cell_angle_gamma 90.00
loop_
_atom_site_label
_atom_site_type_symbol
_atom_site_fract_x
_atom_site_fract_y
_atom_site_fract_z
Mn1 Mn 0.000 0.000 0.000
V1 V 0.250 0.250 0.670
Si1 Si 0.000 0.335 0.000
Si2 Si 0.248 0.418 0.332
```